1.
The following is a calculated powder XRD pattern of MgGa6Cu12. It was derived from a PBE-relaxed structure, using Cu Kα (λ = 1.5418 Å).
No peak broadening, texture or thermal motion is included.

Atomic structure:
Unit cell a=10.8850 b=10.8850 c=8.2347 alpha=90.00 beta=90.00 gamma=120.00
Space group R-3m (No. 166, hexagonal axes)
One atom of each set of equivalent atoms:
Mg (0.0000, 0.0000, 0.0000) (multiplicity 3)
Ga (0.0646, 0.5323, 0.2384) (multiplicity 18)
Cu (0.0000, 0.3880, 0.5000) (multiplicity 18)
Cu (0.0806, 0.1611, 0.2730) (multiplicity 18)

Largest 10 diffraction maxima, by angle, 5° ≤ 2θ ≤ 70°:
2θ 14.28, I 16, hkl 1 0 1
2θ 23.58, I 22, hkl 0 1 2
2θ 36.04, I 63, hkl 1 3 1
2θ 36.67, I 35, hkl 1 1 3
2θ 43.25, I 100, hkl 3 2 1
2θ 43.79, I 85, hkl 0 3 3
2θ 44.02, I 17, hkl 4 1 0
2θ 47.49, I 50, hkl 2 3 2
2θ 48.24, I 43, hkl 0 2 4
2θ 53.45, I 44, hkl 5 0 2

=====

2.
The following is a calculated powder XRD pattern of Mg3Ga3Cu. It was derived from a PBE-relaxed structure, using Cu Kα (λ = 1.5418 Å).
No peak broadening, texture or thermal motion is included.

Atomic structure:
Unit cell a=9.814 b=4.068 c=13.833 alpha=90.00 beta=107.78 gamma=90.00
Space group C2/m (No. 12)
One atom of each set of equivalent atoms:
Mg (0.019, 0.000, 0.378) (multiplicity 4)
Mg (0.106, 0.000, 0.922) (multiplicity 4)
Mg (0.238, 0.000, 0.235) (multiplicity 4)
Ga (0.018, 0.500, 0.231) (multiplicity 4)
Ga (0.116, 0.500, 0.078) (multiplicity 4)
Ga (0.143, 0.500, 0.539) (multiplicity 4)
Cu (0.232, 0.500, 0.382) (multiplicity 4)

Largest 10 diffraction maxima, by angle, 5° ≤ 2θ ≤ 70°:
2θ 6.71, I 63, hkl 0 0 1
2θ 18.10, I 48, hkl 2 0 -1
2θ 23.86, I 77, hkl 1 1 0
2θ 27.98, I 37, hkl 2 0 -4
2θ 33.36, I 50, hkl 1 1 3
2θ 34.05, I 67, hkl 1 1 -4
2θ 39.93, I 39, hkl 3 1 -4
2θ 42.02, I 100, hkl 3 1 2
2θ 44.54, I 57, hkl 0 2 0
2θ 51.70, I 37, hkl 5 1 -2

=====

3.
The following is a calculated powder XRD pattern of Mg2Ga3Cu. It was derived from a PBE-relaxed structure, using Cu Kα (λ = 1.5418 Å).
No peak broadening, texture or thermal motion is included.

Atomic structure:
Unit cell a=3.172 b=4.389 c=7.614 alpha=90.00 beta=90.00 gamma=90.00
Space group Pmm2 (No. 25)
One atom of each set of equivalent atoms:
Mg (0.000, 0.000, 0.000) (multiplicity 1)
Mg (0.000, 0.500, 0.472) (multiplicity 1)
Ga (0.500, 0.000, 0.641) (multiplicity 1)
Ga (0.500, 0.500, 0.158) (multiplicity 1)
Ga (0.500, 0.500, 0.817) (multiplicity 1)
Cu (0.500, 0.000, 0.316) (multiplicity 1)

Largest 10 diffraction maxima, by angle, 5° ≤ 2θ ≤ 70°:
2θ 23.38, I 33, hkl 0 1 1
2θ 28.14, I 46, hkl 1 0 0
2θ 36.90, I 91, hkl 1 1 1
2θ 41.10, I 100, hkl 0 2 0
2θ 47.82, I 5, hkl 0 0 4
2θ 50.55, I 53, hkl 1 2 0
2θ 56.41, I 25, hkl 1 2 2
2θ 58.18, I 12, hkl 2 0 0
2θ 63.56, I 4, hkl 2 1 1
2θ 64.84, I 4, hkl 0 2 4

=====

4.
The following is a calculated powder XRD pattern of NdMg2GaCu2. It was derived from a PBE-relaxed structure, using Cu Kα (λ = 1.5418 Å).
No peak broadening, texture or thermal motion is included.

Atomic structure:
Unit cell a=4.943 b=4.943 c=10.721 alpha=90.00 beta=90.00 gamma=90.00
Space group I4/mmm (No. 139)
One atom of each set of equivalent atoms:
Nd (0.000, 0.000, 0.000) (multiplicity 2)
Mg (0.000, 0.500, 0.250) (multiplicity 4)
Ga (0.000, 0.000, 0.500) (multiplicity 2)
Cu (0.000, 0.000, 0.284) (multiplicity 4)

Largest 10 diffraction maxima, by angle, 5° ≤ 2θ ≤ 70°:
2θ 25.48, I 100, hkl 1 1 0
2θ 30.53, I 28, hkl 1 1 2
2θ 30.87, I 31, hkl 1 0 3
2θ 33.43, I 35, hkl 0 0 4
2θ 36.35, I 71, hkl 2 0 0
2θ 42.50, I 36, hkl 1 1 4
2θ 50.21, I 43, hkl 2 0 4
2θ 52.35, I 24, hkl 2 2 0
2θ 59.10, I 19, hkl 3 1 0
2θ 63.56, I 27, hkl 2 2 4